[1]
Structure and computed powder diffraction line list of AlGa4Pd7 (a GGA-PBE-relaxed structure; Cu Ka).

Principal peaks in the range 2θ from 15° to 90°, most intense first:
d/Å  2θ (°)  I_rel
2.133  42.39  100.0
2.068  43.77  83.6
2.292  39.32  71.6
3.177  28.09  57.3
2.203  40.97  53.1
1.588  58.08  37.4
2.798  31.98  26.0
1.399  66.87  20.7
1.290  73.39  18.9
1.276  74.37  16.7
1.194  80.42  15.5
2.691  33.30  14.6

```
12
Lattice="5.932 -2.292 0.000 5.932 2.292 0.000 -5.523 0.000 7.281" Properties=species:S:1:pos:R:3 pbc="T T T"
Al 0.000 0.000 0.000
Ga -0.283 0.000 4.788
Ga 3.791 0.000 1.570
Ga 2.550 0.000 5.711
Ga 6.623 0.000 2.493
Pd -0.872 0.000 2.299
Pd -2.253 0.000 6.335
Pd 1.828 0.000 3.154
Pd 5.932 0.000 0.000
Pd 4.513 0.000 4.128
Pd 8.594 0.000 0.946
Pd 7.213 0.000 4.982
```

***

[2]
Structure and computed powder diffraction line list of AlGa4Pd (a GGA-PBE-relaxed structure; Cu Ka).

Principal peaks in the range 2θ from 15° to 90°, most intense first:
d/Å  2θ (°)  I_rel
2.778  32.22  100.0
2.186  41.30  87.9
2.045  44.30  86.6
2.196  41.10  67.3
5.008  17.71  42.1
1.980  45.84  37.9
1.358  69.17  34.2
1.302  72.62  29.7
1.282  73.90  19.8
1.893  48.06  17.6
2.286  39.42  16.3
3.377  26.40  15.9

```
12
Lattice="-3.233 3.233 5.008 3.233 -3.233 5.008 3.233 3.233 -5.008" Properties=species:S:1:pos:R:3 pbc="T T T"
Al 0.000 0.000 0.000
Al 0.000 0.000 5.008
Ga 4.179 0.947 -1.381
Ga 0.947 2.286 -1.381
Ga 4.179 0.947 1.381
Ga 0.947 2.286 1.381
Ga 2.286 0.947 3.627
Ga -0.947 2.286 3.627
Ga 2.286 0.947 6.390
Ga -0.947 2.286 6.390
Pd 0.000 0.000 2.504
Pd 0.000 0.000 7.512
```

***

[3]
Structure and computed powder diffraction line list of PmAlGa2Pd4 (a GGA-PBE-relaxed structure; Cu Ka).

Principal peaks in the range 2θ from 15° to 90°, most intense first:
d/Å  2θ (°)  I_rel
2.169  41.63  100.0
2.448  36.72  71.4
2.631  34.07  45.7
3.038  29.40  32.0
1.623  56.70  19.9
1.300  72.76  18.6
1.990  45.59  16.7
1.252  75.98  16.4
1.348  69.77  15.9
1.674  54.85  11.6
1.325  71.15  10.5
1.527  60.63  8.4

```
8
Lattice="2.169 1.252 8.602 -2.169 1.252 8.602 0.000 -2.505 8.602" Properties=species:S:1:pos:R:3 pbc="T T T"
Pm 0.000 0.000 0.000
Al 0.000 0.000 12.903
Ga 0.000 0.000 6.303
Ga 0.000 0.000 19.504
Pd 0.000 0.000 3.493
Pd 0.000 0.000 10.412
Pd 0.000 0.000 15.395
Pd 0.000 0.000 22.314
```

***

[4]
Structure and computed powder diffraction line list of Pm2AlGa4Pd3 (a GGA-PBE-relaxed structure; Cu Ka).

Principal peaks in the range 2θ from 15° to 90°, most intense first:
d/Å  2θ (°)  I_rel
2.617  34.26  100.0
2.745  32.62  75.5
2.114  42.78  61.7
1.928  47.15  39.8
1.675  54.81  34.2
1.424  65.54  29.2
2.990  29.89  26.2
1.298  72.87  21.6
1.495  62.09  20.0
1.140  85.10  14.4
2.007  45.18  13.6
1.545  59.86  10.1

```
10
Lattice="4.228 0.000 0.000 0.000 4.228 0.000 0.000 0.000 10.829" Properties=species:S:1:pos:R:3 pbc="T T T"
Pm 0.000 2.114 2.654
Pm 2.114 0.000 8.176
Al 0.000 0.000 5.415
Ga 0.000 0.000 0.000
Ga 0.000 2.114 6.938
Ga 2.114 0.000 3.892
Ga 2.114 2.114 0.000
Pd 0.000 2.114 9.414
Pd 2.114 0.000 1.416
Pd 2.114 2.114 5.415
```

***

[5]
Structure and computed powder diffraction line list of Pm7Al2Ga2 (a GGA-PBE-relaxed structure; Cu Ka).

Principal peaks in the range 2θ from 15° to 90°, most intense first:
d/Å  2θ (°)  I_rel
3.212  27.77  100.0
2.447  36.73  87.8
2.792  32.06  61.5
2.513  35.73  57.3
3.256  27.39  50.7
3.485  25.56  30.2
3.776  23.56  22.5
2.722  32.90  22.0
1.964  46.23  21.6
1.606  57.37  20.2
1.682  54.56  19.7
1.628  56.53  16.0

```
11
Lattice="3.927 -5.584 0.000 3.927 5.584 0.000 0.000 0.000 7.553" Properties=species:S:1:pos:R:3 pbc="T T T"
Pm 0.000 0.000 0.000
Pm 1.964 2.792 2.147
Pm 1.964 2.792 5.406
Pm 1.964 -2.792 2.147
Pm 1.964 -2.792 5.406
Pm 3.927 0.000 1.952
Pm 3.927 0.000 5.601
Al 1.302 0.000 3.776
Al 6.553 0.000 3.776
Ga 3.927 2.355 0.000
Ga 3.927 -2.355 0.000
```

***

[6]
Structure and computed powder diffraction line list of Pm2AlGa12 (a GGA-PBE-relaxed structure; Cu Ka).

Principal peaks in the range 2θ from 15° to 90°, most intense first:
d/Å  2θ (°)  I_rel
2.926  30.55  100.0
2.247  40.14  58.0
2.184  41.33  51.3
2.880  31.05  44.1
1.771  51.60  26.0
2.425  37.08  25.0
1.285  73.75  21.4
1.371  68.42  16.3
1.965  46.19  14.1
2.471  36.36  13.7
1.396  67.04  12.5
2.501  35.91  12.3

```
30
Lattice="6.355 0.000 0.000 0.000 6.355 0.000 0.000 0.000 15.007" Properties=species:S:1:pos:R:3 pbc="T T T"
Pm 1.589 4.766 3.643
Pm 1.589 4.766 11.363
Pm 4.766 1.589 3.643
Pm 4.766 1.589 11.363
Al 1.589 4.766 0.000
Al 4.766 1.589 0.000
Ga 0.005 3.182 1.359
Ga 0.005 6.350 13.648
Ga 0.511 3.688 8.580
Ga 0.511 5.844 6.427
Ga 1.589 1.589 2.719
Ga 1.589 1.589 5.179
Ga 1.589 1.589 9.828
Ga 1.589 1.589 12.288
Ga 2.667 3.688 6.427
Ga 2.667 5.844 8.580
Ga 3.172 3.182 13.648
Ga 3.172 6.350 1.359
Ga 3.182 0.005 13.648
Ga 3.182 3.172 1.359
Ga 3.688 0.511 6.427
Ga 3.688 2.667 8.580
Ga 4.766 4.766 2.719
Ga 4.766 4.766 5.179
Ga 4.766 4.766 9.828
Ga 4.766 4.766 12.288
Ga 5.844 0.511 8.580
Ga 5.844 2.667 6.427
Ga 6.350 0.005 1.359
Ga 6.350 3.172 13.648
```

***

[7]
Structure and computed powder diffraction line list of Pm2AlGa4 (a GGA-PBE-relaxed structure; Cu Ka).

Principal peaks in the range 2θ from 15° to 90°, most intense first:
d/Å  2θ (°)  I_rel
2.491  36.06  100.0
4.279  20.76  19.0
4.232  20.99  18.5
2.219  40.66  17.9
3.080  28.99  16.7
3.063  29.16  16.5
2.140  42.24  16.0
2.116  42.73  15.5
1.328  71.00  13.4
1.293  73.20  12.2
1.283  73.89  11.9
1.540  60.07  11.1

```
7
Lattice="0.000 4.279 4.438 4.232 0.000 4.438 4.232 4.279 0.000" Properties=species:S:1:pos:R:3 pbc="T T T"
Pm 2.116 2.140 0.000
Pm 2.116 2.140 4.438
Al 4.232 4.279 4.429
Ga 4.232 6.415 6.658
Ga 4.232 2.144 6.658
Ga 6.343 4.279 6.657
Ga 2.122 4.279 6.657
```

***

[8]
Structure and computed powder diffraction line list of PmAl3Ga (a GGA-PBE-relaxed structure; Cu Ka).

Principal peaks in the range 2θ from 15° to 90°, most intense first:
d/Å  2θ (°)  I_rel
2.643  33.92  100.0
2.811  31.83  72.5
2.991  29.87  69.4
2.115  42.75  63.2
2.803  31.93  62.3
5.627  15.75  58.8
1.984  45.73  42.2
3.960  22.45  41.8
1.990  45.59  34.0
2.637  33.99  33.4
1.689  54.32  31.7
1.448  64.34  25.5

```
10
Lattice="5.984 0.000 0.000 0.000 5.981 0.000 -2.968 0.000 5.627" Properties=species:S:1:pos:R:3 pbc="T T T"
Pm 0.000 0.000 0.000
Pm 2.992 2.990 0.000
Al -1.485 1.495 2.834
Al -1.485 4.485 2.834
Al 0.008 2.990 1.262
Al 1.507 1.495 2.834
Al 1.507 4.486 2.834
Al 3.000 0.000 1.262
Ga 0.015 0.000 4.395
Ga 3.007 2.990 4.395
```

***

[9]
Structure and computed powder diffraction line list of Pm3Al2Ga9 (a GGA-PBE-relaxed structure; Cu Ka).

Principal peaks in the range 2θ from 15° to 90°, most intense first:
d/Å  2θ (°)  I_rel
2.600  34.50  100.0
2.628  34.12  37.9
2.126  42.53  29.5
3.041  29.37  28.9
2.175  41.51  22.9
2.651  33.82  20.4
1.677  54.75  20.4
1.520  60.93  14.5
1.465  63.52  13.8
1.301  72.67  13.5
2.507  35.82  13.1
2.735  32.74  13.0

```
14
Lattice="-2.126 5.014 6.526 2.126 -5.014 6.526 2.126 5.014 -6.526" Properties=species:S:1:pos:R:3 pbc="T T T"
Pm 0.000 0.000 0.000
Pm 0.000 0.000 4.184
Pm 0.000 0.000 8.869
Al 2.126 2.792 0.000
Al 0.000 2.222 6.526
Ga 2.126 -1.277 2.178
Ga 2.126 -2.275 4.702
Ga 2.126 1.277 2.178
Ga 0.000 2.740 1.824
Ga 0.000 5.014 0.000
Ga 2.126 2.275 4.702
Ga 0.000 3.737 4.348
Ga 0.000 7.289 1.824
Ga 0.000 6.291 4.348
```

***

[10]
Structure and computed powder diffraction line list of Pm2AlGa3 (a GGA-PBE-relaxed structure; Cu Ka).

Principal peaks in the range 2θ from 15° to 90°, most intense first:
d/Å  2θ (°)  I_rel
2.787  32.11  100.0
2.472  36.35  26.8
2.433  36.95  23.4
3.283  27.16  21.2
2.175  41.53  20.3
2.074  43.64  17.6
1.906  47.72  15.8
3.194  27.93  15.1
1.589  58.05  13.6
1.621  56.78  13.2
1.501  61.81  12.4
1.433  65.08  12.3

```
12
Lattice="4.148 0.000 0.000 0.000 4.349 0.000 0.000 0.000 15.019" Properties=species:S:1:pos:R:3 pbc="T T T"
Pm 0.000 0.000 0.000
Pm 0.000 2.175 3.896
Pm 2.074 0.000 11.405
Pm 2.074 2.175 7.510
Al 0.000 0.000 8.835
Al 2.074 2.175 1.326
Ga 0.000 0.000 6.344
Ga 0.000 2.175 10.080
Ga 0.000 2.175 12.558
Ga 2.074 0.000 2.571
Ga 2.074 0.000 5.048
Ga 2.074 2.175 13.854
```

***

[11]
Structure and computed powder diffraction line list of Pm4Al3Ga (a GGA-PBE-relaxed structure; Cu Ka).

Principal peaks in the range 2θ from 15° to 90°, most intense first:
d/Å  2θ (°)  I_rel
2.611  34.34  100.0
3.693  24.10  41.7
1.508  61.50  36.7
1.847  49.35  17.8
1.652  55.65  17.3
2.132  42.39  12.7
1.306  72.38  11.3
1.167  82.66  10.6
1.169  82.53  5.3
1.231  77.52  4.9
1.113  87.67  3.3
1.231  77.58  3.3

```
8
Lattice="3.691 0.000 0.000 0.000 3.691 0.000 0.000 0.000 14.787" Properties=species:S:1:pos:R:3 pbc="T T T"
Pm 0.000 0.000 1.822
Pm 0.000 0.000 5.543
Pm 0.000 0.000 9.244
Pm 0.000 0.000 12.965
Al 1.846 1.846 3.690
Al 1.846 1.846 7.393
Al 1.846 1.846 11.097
Ga 1.846 1.846 0.000
```

***

[12]
Structure and computed powder diffraction line list of Pm2AlGa3 (a GGA-PBE-relaxed structure; Cu Ka).

Principal peaks in the range 2θ from 15° to 90°, most intense first:
d/Å  2θ (°)  I_rel
2.796  32.01  100.0
2.147  42.08  39.5
1.509  61.45  25.3
1.703  53.83  22.8
3.719  23.93  17.2
1.335  70.57  13.3
2.120  42.64  12.7
1.321  71.38  9.7
1.334  70.61  6.7
1.240  76.90  6.5
1.125  86.48  5.9
1.842  49.48  5.0

```
12
Lattice="0.000 4.293 7.441 4.241 0.000 7.441 4.241 4.293 0.000" Properties=species:S:1:pos:R:3 pbc="T T T"
Pm 6.385 4.293 7.441
Pm 2.120 2.147 3.721
Pm 6.361 6.440 11.162
Pm 2.097 4.293 7.441
Al 4.241 4.293 4.966
Al 4.241 4.293 9.916
Ga 4.241 4.293 2.480
Ga 4.241 2.147 6.205
Ga 4.241 2.147 8.677
Ga 4.241 6.440 6.205
Ga 4.241 6.440 8.677
Ga 4.241 4.293 12.402
```

***

[13]
Structure and computed powder diffraction line list of Pm8AlGa6 (a GGA-PBE-relaxed structure; Cu Ka).

Principal peaks in the range 2θ from 15° to 90°, most intense first:
d/Å  2θ (°)  I_rel
2.522  35.60  100.0
2.572  34.89  76.5
3.601  24.72  46.9
1.801  50.69  28.7
2.880  31.06  23.9
2.779  32.21  23.9
1.447  64.39  20.5
1.475  63.02  16.2
4.454  19.93  13.3
3.944  22.54  11.0
3.315  26.90  10.3
1.707  53.68  9.9

```
15
Lattice="4.454 2.572 6.118 -4.454 2.572 6.118 0.000 -5.143 6.118" Properties=species:S:1:pos:R:3 pbc="T T T"
Pm -1.159 -2.173 7.162
Pm 0.000 0.000 3.121
Pm -2.461 -0.082 11.193
Pm -1.302 2.090 7.162
Pm 1.302 -2.090 11.193
Pm 2.461 0.082 7.162
Pm 0.000 0.000 15.234
Pm 1.159 2.173 11.193
Al 0.000 0.000 9.178
Ga -3.080 -0.035 8.191
Ga -1.510 -2.685 10.164
Ga 1.570 -2.650 8.191
Ga -1.570 2.650 10.164
Ga 1.510 2.685 8.191
Ga 3.080 0.035 10.164
```